Record 1
Starting from a crystal structure in OQMD, relaxed with PBE, the XRD peak list of ZrGaBr7 was calculated for a wavelength of 1.5418 Å.
Intensities are scaled so that the largest is 100.

Crystal structure
Cell: 7.6727 6.4278 16.1654 Å, 90.00 100.39 90.00°
Space group Pc (No. 7)
Inequivalent atoms, fractional coordinates:
Zr1 0.0000 0.0842 0.0000 x2
Ga1 0.2590 0.4895 0.1469 x2
Br1 0.1344 0.1387 0.4017 x2
Br2 0.2495 0.1409 0.6420 x2
Br3 0.3131 0.3350 0.0173 x2
Br4 0.4604 0.3756 0.2601 x2
Br5 0.7525 0.1310 0.5362 x2
Br6 0.8288 0.3265 0.8956 x2
Br7 0.9687 0.3370 0.1419 x2

Principal peaks in the range 10° ≤ 2θ ≤ 90°, sorted by position:
2θ (°), d (Å), intensity, h k l
11.13, 7.950, 86, 0 0 2
11.73, 7.547, 86, 1 0 0
14.65, 6.045, 96, 1 0 -2
17.74, 4.998, 51, 0 1 2
23.30, 3.817, 44, 1 0 -4
26.19, 3.403, 71, 1 1 3
27.13, 3.287, 100, 2 1 -1
28.33, 3.150, 51, 0 2 1
31.71, 2.821, 55, 1 1 -5
36.51, 2.461, 39, 2 2 -1

Record 2
Starting from a crystal structure in OQMD, relaxed with PBE, the XRD peak list of KRbOsO3 was calculated for a wavelength of 1.5418 Å.
Intensities are scaled so that the largest is 100.

Crystal structure
Cell: 6.4417 6.4417 7.2381 Å, 90.00 90.00 120.00°
Space group P321 (No. 150)
Inequivalent atoms, fractional coordinates:
K1 0.0000 0.0000 0.0000 x1
K2 0.0000 0.0000 0.5000 x1
Rb1 0.3333 0.6667 0.2433 x2
Os1 0.3333 0.6667 0.7462 x2
O1 0.1287 0.3491 0.7487 x6

Principal peaks in the range 10° ≤ 2θ ≤ 90°, sorted by position:
2θ (°), d (Å), intensity, h k l
15.89, 5.579, 32, 1 0 0
20.10, 4.419, 51, 1 0 1
24.60, 3.619, 41, 0 0 2
27.70, 3.221, 100, 1 1 0
29.42, 3.036, 58, 0 1 2
37.38, 2.406, 48, 1 1 2
40.82, 2.210, 39, 2 0 2
48.98, 1.860, 22, 3 0 0
50.06, 1.822, 26, 1 2 2
58.51, 1.578, 24, 1 1 4

Record 3
Starting from a crystal structure in OQMD, relaxed with PBE, the XRD peak list of Tm2Ta2O7 was calculated for a wavelength of 1.5418 Å.
Intensities are scaled so that the largest is 100.

Crystal structure
Cell: 10.1199 10.0866 7.1496 Å, 90.00 134.32 90.00°
Space group Cc (No. 9)
Inequivalent atoms, fractional coordinates:
Tm1 0.0000 0.0015 0.0000 x4
Tm2 0.2389 0.2491 0.9897 x4
Ta1 0.2004 0.2696 0.4495 x4
Ta2 0.4854 0.0061 0.9714 x4
O1 0.1992 0.3731 0.2033 x4
O2 0.2122 0.3738 0.7042 x4
O3 0.2583 0.1254 0.7023 x4
O4 0.2654 0.1246 0.3092 x4
O5 0.4551 0.0986 0.1956 x4
O6 0.4655 0.3407 0.7078 x4
O7 0.4945 0.3761 0.2441 x4

Principal peaks in the range 10° ≤ 2θ ≤ 90°, sorted by position:
2θ (°), d (Å), intensity, h k l
30.39, 2.941, 97, 2 2 0
30.66, 2.916, 100, 2 2 -2
35.09, 2.558, 24, 0 0 2
35.48, 2.530, 23, 4 0 -2
35.60, 2.522, 23, 0 4 0
50.42, 1.810, 13, 4 0 0
50.85, 1.796, 28, 0 4 2
51.13, 1.786, 43, 4 0 -4
60.40, 1.533, 26, 2 2 -4
60.89, 1.521, 26, 6 2 -4

Record 4
Starting from a crystal structure in OQMD, relaxed with PBE, the XRD peak list of Li8Cd2Sn was calculated for a wavelength of 1.5418 Å.
Intensities are scaled so that the largest is 100.

Crystal structure
Cell: 4.5628 4.5628 31.1545 Å, 90.00 90.00 120.00°
Space group R-3m (No. 166, hexagonal axes)
Inequivalent atoms, fractional coordinates:
Li1 0.0000 0.0000 0.0888 x6
Li2 0.0000 0.0000 0.1818 x6
Li3 0.0000 0.0000 0.2779 x6
Li4 0.0000 0.0000 0.3633 x6
Cd1 0.0000 0.0000 0.4530 x6
Sn1 0.0000 0.0000 0.0000 x3

Principal peaks in the range 10° ≤ 2θ ≤ 90°, sorted by position:
2θ (°), d (Å), intensity, h k l
23.22, 3.830, 100, 0 1 2
25.27, 3.524, 36, 1 0 4
25.74, 3.462, 28, 0 0 9
30.25, 2.955, 29, 1 0 7
39.13, 2.302, 44, 0 1 11
39.50, 2.281, 43, 1 1 0
44.20, 2.049, 17, 1 0 13
46.32, 1.960, 16, 2 0 2
47.75, 1.905, 31, 1 1 9
71.40, 1.321, 15, 1 2 11

Record 5
Starting from a crystal structure in OQMD, relaxed with PBE, the XRD peak list of LaPr2Cu2Si2Ge2Pd2 was calculated for a wavelength of 1.5418 Å.
Intensities are scaled so that the largest is 100.

Crystal structure
Cell: 4.2554 4.2899 24.2615 Å, 90.00 90.00 90.00°
Space group Immm (No. 71)
Inequivalent atoms, fractional coordinates:
La1 0.0000 0.0000 0.0000 x2
Pr1 0.0000 0.5000 0.3503 x4
Cu1 0.0000 0.5000 0.0991 x4
Si1 0.0000 0.5000 0.1962 x4
Ge1 0.0000 0.0000 0.4475 x4
Pd1 0.0000 0.0000 0.2494 x4

Principal peaks in the range 10° ≤ 2θ ≤ 90°, sorted by position:
2θ (°), d (Å), intensity, h k l
33.13, 2.704, 100, 1 1 4
33.23, 2.696, 33, 0 1 7
37.13, 2.422, 15, 0 0 10
39.57, 2.277, 19, 1 0 9
42.14, 2.145, 26, 0 2 0
42.49, 2.128, 23, 2 0 0
46.37, 1.958, 13, 1 0 11
54.98, 1.670, 16, 2 1 7
61.37, 1.511, 15, 2 2 0
71.31, 1.323, 14, 1 3 4

Record 6
Starting from a crystal structure in OQMD, relaxed with PBE, the XRD peak list of Sc3ReB7 was calculated for a wavelength of 1.5418 Å.
Intensities are scaled so that the largest is 100.

Crystal structure
Cell: 3.0744 25.6135 7.7276 Å, 90.00 90.00 90.00°
Space group Cmm2 (No. 35)
Inequivalent atoms, fractional coordinates:
Sc1 0.0000 0.1270 0.0000 x4
Sc2 0.0000 0.1272 0.3510 x4
Sc3 0.0000 0.2095 0.6756 x4
Re1 0.0000 0.0979 0.6757 x4
B1 0.0000 0.2261 0.0479 x4
B2 0.0000 0.2261 0.3035 x4
B3 0.0000 0.2986 0.4044 x4
B4 0.0000 0.2986 0.9470 x4
B5 0.0000 0.3480 0.5634 x4
B6 0.0000 0.3480 0.7878 x4
B7 0.0000 0.4681 0.6774 x4

Principal peaks in the range 10° ≤ 2θ ≤ 90°, sorted by position:
2θ (°), d (Å), intensity, h k l
11.45, 7.728, 100, 0 0 1
13.83, 6.403, 66, 0 4 0
17.99, 4.931, 16, 0 4 1
23.02, 3.864, 15, 0 0 2
23.81, 3.737, 19, 0 6 1
29.26, 3.052, 24, 1 1 0
34.01, 2.636, 17, 1 5 0
34.83, 2.576, 21, 0 0 3
37.60, 2.392, 19, 0 4 3
46.11, 1.969, 16, 1 1 3